Entry 1:
Computed powder diffractogram
Compound: NaV2Pb2O7
Radiation: CuKα
Structure: DFT lattice parameters and positions (PBE+U)
Peak positions follow from Bragg's law for the DFT cell and can differ from measured ones.

Peak list (10 most intense, 2θ from 10° to 90°, in order of falling intensity)
two_theta  I_rel
26.27  100
31.27  78
19.48  67
11.41  47
23.59  39
47.40  39
33.39  35
52.69  27
41.29  26
32.43  23

Cell and atoms:
```
data_NaV2Pb2O7
_chemical_formula_sum 'Na3 V6 Pb6 O21'
_space_group_name_H-M_alt 'R 3 2'
_space_group_IT_number 155
_space_group_name_Hall 'R 3 2"'
_cell_length_a 5.7202
_cell_length_b 5.7202
_cell_length_c 23.2719
_cell_angle_alpha 90.00
_cell_angle_beta 90.00
_cell_angle_gamma 120.00
loop_
_atom_site_label
_atom_site_fract_x
_atom_site_fract_y
_atom_site_fract_z
Na1 0.0000 0.0000 0.0000
V1 0.0000 0.0000 0.4213
Pb1 0.0000 0.0000 0.2153
O1 0.0000 0.0000 0.5000
O2 0.0220 0.3067 0.4004
```

***

Entry 2:
Computed powder diffractogram
Compound: NdPa2CoO8
Radiation: CuKα
Structure: DFT lattice parameters and positions (PBE+U)
Peak positions follow from Bragg's law for the DFT cell and can differ from measured ones.

Peak list (10 most intense, 2θ from 10° to 90°, in order of falling intensity)
two_theta  I_rel
24.29  100
34.80  74
34.45  56
42.89  38
49.78  31
13.82  30
62.16  22
56.37  22
55.90  16
62.38  14

Cell and atoms:
```
data_NdPa2CoO8
_chemical_formula_sum 'Nd1 Pa2 Co1 O8'
_space_group_name_H-M_alt 'P -3 m 1'
_space_group_IT_number 164
_space_group_name_Hall '-P 3 2"'
_cell_length_a 5.1565
_cell_length_b 5.1565
_cell_length_c 6.4072
_cell_angle_alpha 90.00
_cell_angle_beta 90.00
_cell_angle_gamma 120.00
loop_
_atom_site_label
_atom_site_fract_x
_atom_site_fract_y
_atom_site_fract_z
Nd1 0.0000 0.0000 0.0000
Pa1 0.3333 0.6667 0.3681
Co1 0.0000 0.0000 0.5000
O1 0.1680 0.3361 0.6708
O2 0.3333 0.6667 0.0679
```